[1]
Diffraction record for CeMg2IrO8. The X-ray powder pattern is simulated, not measured: it uses a PBE-relaxed structure and Cu Kα X-rays.
Lines closer than 0.1° are merged.

Largest 10 diffraction maxima, in order of rising 2θ, 2θ from 10° to 80°:
- (1 1 0), 2θ 18.81, rel. 100
- (0 2 0), 2θ 26.31, rel. 46
- (0 0 2), 2θ 26.84, rel. 22
- (2 0 0), 2θ 27.12, rel. 42
- (1 1 2), 2θ 32.98, rel. 75
- (0 2 2), 2θ 37.94, rel. 33
- (3 1 0), 2θ 43.38, rel. 18
- (1 3 2), 2θ 50.83, rel. 32
- (3 1 2), 2θ 51.75, rel. 30
- (3 3 2), 2θ 65.68, rel. 18

Structure:
Unit cell a=6.577 b=6.774 c=6.643 alpha=90.00 beta=90.00 gamma=90.00
Space group Cmmm (No. 65)
Unique sites:
Ce  0.000  0.000  0.000 x2
Mg  0.000  0.500  0.256 x4
Ir  0.000  0.000  0.500 x2
O  0.000  0.194  0.291 x8
O  0.189  0.500  0.000 x4
O  0.214  0.500  0.500 x4

[2]
Diffraction record for CeMn17Ir. The X-ray powder pattern is simulated, not measured: it uses a PBE-relaxed structure and Cu Kα X-rays.
Lines closer than 0.1° are merged.

Largest 10 diffraction maxima, in order of rising 2θ, 2θ from 10° to 80°:
- (1 1 3), 2θ 31.41, rel. 43
- (2 1 1), 2θ 33.40, rel. 22
- (3 0 0), 2θ 36.96, rel. 52
- (0 2 4), 2θ 39.72, rel. 61
- (2 2 0), 2θ 42.94, rel. 85
- (3 0 3), 2θ 43.99, rel. 100
- (2 1 4), 2θ 45.39, rel. 37
- (2 0 5), 2θ 46.40, rel. 35
- (0 0 6), 2θ 47.02, rel. 21
- (1 4 3), 2θ 63.16, rel. 26

Structure:
Unit cell a=8.4253 b=8.4253 c=11.5944 alpha=90.00 beta=90.00 gamma=120.00
Space group R3m (No. 160, hexagonal axes)
Unique sites:
Ce  0.0000  0.0000  0.0000 x3
Mn  0.0000  0.0000  0.5287 x3
Mn  0.0000  0.0000  0.7475 x3
Mn  0.0592  0.3881  0.3033 x18
Mn  0.1719  0.3437  0.4735 x9
Mn  0.1764  0.3527  0.8383 x9
Mn  0.1813  0.3626  0.1014 x9
Ir  0.0000  0.0000  0.3014 x3

[3]
Diffraction record for CeMnSi2Ir. The X-ray powder pattern is simulated, not measured: it uses a PBE-relaxed structure and Cu Kα X-rays.
Lines closer than 0.1° are merged.

Largest 10 diffraction maxima, in order of rising 2θ, 2θ from 10° to 80°:
- (1 0 1), 2θ 23.69, rel. 52
- (1 0 3), 2θ 34.52, rel. 37
- (0 0 4), 2θ 35.28, rel. 19
- (1 1 2), 2θ 36.05, rel. 100
- (2 0 0), 2θ 44.85, rel. 35
- (2 1 1), 2θ 51.34, rel. 14
- (2 1 3), 2θ 57.80, rel. 17
- (2 0 4), 2θ 58.31, rel. 18
- (1 1 6), 2θ 63.82, rel. 18
- (3 1 2), 2θ 76.91, rel. 22

Structure:
Unit cell a=4.042 b=4.042 c=10.176 alpha=90.00 beta=90.00 gamma=90.00
Space group I-4m2 (No. 119)
Unique sites:
Ce  0.000  0.000  0.000 x2
Mn  0.000  0.500  0.750 x2
Si  0.000  0.000  0.379 x4
Ir  0.000  0.500  0.250 x2

[4]
Diffraction record for Ce3IrN. The X-ray powder pattern is simulated, not measured: it uses a PBE-relaxed structure and Cu Kα X-rays.
Lines closer than 0.1° are merged.

Largest 10 diffraction maxima, in order of rising 2θ, 2θ from 10° to 80°:
- (2 0 1), 2θ 29.34, rel. 29
- (1 1 1), 2θ 31.03, rel. 48
- (2 1 -1), 2θ 34.23, rel. 100
- (1 0 -3), 2θ 34.74, rel. 35
- (0 0 3), 2θ 35.96, rel. 25
- (2 0 2), 2θ 38.21, rel. 31
- (2 1 1), 2θ 38.54, rel. 43
- (3 1 -1), 2θ 42.94, rel. 26
- (0 2 0), 2θ 50.09, rel. 21
- (1 1 4), 2θ 59.62, rel. 37

Structure:
Unit cell a=7.759 b=3.642 c=7.773 alpha=90.00 beta=105.28 gamma=90.00
Space group P2/m (No. 10)
Unique sites:
Ce  0.072  0.000  0.314 x2
Ce  0.313  0.000  0.072 x2
Ce  0.328  0.500  0.673 x2
Ir  0.000  0.500  0.000 x1
Ir  0.500  0.000  0.500 x1
N  0.000  0.500  0.500 x1
N  0.500  0.500  0.000 x1

[5]
Diffraction record for Ce2PuIrN5. The X-ray powder pattern is simulated, not measured: it uses a PBE-relaxed structure and Cu Kα X-rays.
Lines closer than 0.1° are merged.

Largest 10 diffraction maxima, in order of rising 2θ, 2θ from 10° to 80°:
- (0 0 2), 2θ 16.67, rel. 30
- (0 2 3), 2θ 28.51, rel. 66
- (0 4 2), 2θ 31.66, rel. 60
- (1 1 2), 2θ 31.96, rel. 58
- (1 3 0), 2θ 33.17, rel. 82
- (1 3 1), 2θ 34.26, rel. 47
- (0 2 4), 2θ 36.37, rel. 23
- (1 1 3), 2θ 37.28, rel. 100
- (0 6 1), 2θ 41.49, rel. 39
- (2 0 0), 2θ 53.95, rel. 25

Structure:
Unit cell a=3.399 b=13.342 c=10.636 alpha=90.00 beta=90.00 gamma=90.00
Space group Cmc2_1 (No. 36)
Unique sites:
Ce  0.000  0.101  0.000 x4
Ce  0.000  0.145  0.612 x4
Pu  0.000  0.206  0.322 x4
Ir  0.000  0.478  0.762 x4
N  0.000  0.050  0.378 x4
N  0.000  0.275  0.967 x4
N  0.000  0.328  0.683 x4
N  0.000  0.368  0.306 x4
N  0.000  0.481  0.083 x4

[6]
Diffraction record for Ce3Nd2Ir2. The X-ray powder pattern is simulated, not measured: it uses a PBE-relaxed structure and Cu Kα X-rays.
Lines closer than 0.1° are merged.

Largest 10 diffraction maxima, in order of rising 2θ, 2θ from 10° to 80°:
- (2 0 -1), 2θ 15.41, rel. 44
- (1 1 -2), 2θ 30.64, rel. 100
- (4 0 0), 2θ 32.89, rel. 74
- (3 1 0), 2θ 33.71, rel. 71
- (3 1 -2), 2θ 34.34, rel. 74
- (1 1 2), 2θ 35.43, rel. 63
- (1 1 -3), 2θ 38.85, rel. 64
- (0 2 0), 2θ 46.51, rel. 53
- (4 2 0), 2θ 58.15, rel. 29
- (7 1 -2), 2θ 58.96, rel. 39

Structure:
Unit cell a=11.979 b=3.903 c=8.795 alpha=90.00 beta=114.64 gamma=90.00
Space group C2/m (No. 12)
Unique sites:
Ce  0.000  0.000  0.000 x2
Ce  0.119  0.000  0.449 x4
Nd  0.159  0.500  0.809 x4
Ir  0.142  0.500  0.237 x4

[7]
Diffraction record for CeNd4Ir3. The X-ray powder pattern is simulated, not measured: it uses a PBE-relaxed structure and Cu Kα X-rays.
Lines closer than 0.1° are merged.

Largest 10 diffraction maxima, in order of rising 2θ, 2θ from 10° to 80°:
- (1 1 1), 2θ 20.52, rel. 31
- (1 3 1), 2θ 30.82, rel. 55
- (3 1 1), 2θ 32.57, rel. 55
- (2 2 -2), 2θ 32.78, rel. 67
- (4 2 -1), 2θ 33.37, rel. 65
- (0 2 2), 2θ 34.05, rel. 42
- (4 0 -2), 2θ 34.80, rel. 100
- (2 4 0), 2θ 35.97, rel. 53
- (2 4 -1), 2θ 36.89, rel. 44
- (2 0 2), 2θ 38.27, rel. 44

Structure:
Unit cell a=12.413 b=11.056 c=6.384 alpha=90.00 beta=110.28 gamma=90.00
Space group C2/c (No. 15)
Unique sites:
Ce  0.000  0.001  0.250 x4
Nd  0.087  0.289  0.041 x8
Nd  0.206  0.412  0.616 x8
Ir  0.000  0.500  0.250 x4
Ir  0.143  0.152  0.642 x8

[8]
Diffraction record for Ce2NiIr3. The X-ray powder pattern is simulated, not measured: it uses a PBE-relaxed structure and Cu Kα X-rays.
Lines closer than 0.1° are merged.

Largest 10 diffraction maxima, in order of rising 2θ, 2θ from 10° to 80°:
- (0 0 3), 2θ 21.47, rel. 26
- (1 0 4), 2θ 34.61, rel. 42
- (0 2 1), 2θ 38.94, rel. 93
- (1 1 3), 2θ 39.67, rel. 72
- (2 0 2), 2θ 41.04, rel. 100
- (0 0 6), 2θ 43.74, rel. 18
- (3 0 3), 2θ 63.39, rel. 18
- (0 2 7), 2θ 65.94, rel. 20
- (2 2 0), 2θ 69.12, rel. 29
- (2 0 8), 2θ 73.02, rel. 25

Structure:
Unit cell a=5.4359 b=5.4359 c=12.4169 alpha=90.00 beta=90.00 gamma=120.00
Space group R-3m (No. 166, hexagonal axes)
Unique sites:
Ce  0.0000  0.0000  0.1242 x6
Ni  0.0000  0.0000  0.5000 x3
Ir  0.0000  0.5000  0.0000 x9

[9]
Diffraction record for CeNi3Ir. The X-ray powder pattern is simulated, not measured: it uses a PBE-relaxed structure and Cu Kα X-rays.
Lines closer than 0.1° are merged.

Largest 10 diffraction maxima, in order of rising 2θ, 2θ from 10° to 80°:
- (1 1 1), 2θ 28.66, rel. 100
- (1 3 1), 2θ 32.73, rel. 87
- (0 6 1), 2θ 39.27, rel. 25
- (0 0 2), 2θ 41.48, rel. 32
- (1 7 0), 2θ 43.72, rel. 37
- (2 4 0), 2θ 45.05, rel. 30
- (1 3 2), 2θ 49.22, rel. 22
- (0 8 1), 2θ 49.66, rel. 38
- (2 4 1), 2θ 49.92, rel. 31
- (2 4 2), 2θ 62.89, rel. 43

Structure:
Unit cell a=4.638 b=16.197 c=4.354 alpha=90.00 beta=90.00 gamma=90.00
Space group Cmcm (No. 63)
Unique sites:
Ce  0.000  0.093  0.250 x4
Ni  0.000  0.500  0.000 x4
Ni  0.238  0.279  0.750 x8
Ir  0.000  0.360  0.250 x4

[10]
Diffraction record for CeNiIr4. The X-ray powder pattern is simulated, not measured: it uses a PBE-relaxed structure and Cu Kα X-rays.
Lines closer than 0.1° are merged.

Largest 10 diffraction maxima, in order of rising 2θ, 2θ from 10° to 80°:
- (0 0 1), 2θ 13.68, rel. 22
- (2 1 1), 2θ 35.39, rel. 100
- (3 0 1), 2θ 37.77, rel. 30
- (0 0 3), 2θ 41.88, rel. 27
- (2 1 2), 2θ 43.11, rel. 94
- (0 2 0), 2θ 45.86, rel. 35
- (4 0 0), 2θ 47.31, rel. 23
- (0 2 3), 2θ 63.83, rel. 16
- (4 2 0), 2θ 68.01, rel. 16
- (2 3 1), 2θ 77.97, rel. 12

Structure:
Unit cell a=7.686 b=3.958 c=6.471 alpha=90.00 beta=90.00 gamma=90.00
Space group Pmma (No. 51)
Unique sites:
Ce  0.250  0.000  0.130 x2
Ni  0.250  0.000  0.742 x2
Ir  0.000  0.000  0.500 x2
Ir  0.035  0.500  0.797 x4
Ir  0.250  0.500  0.467 x2

[11]
Diffraction record for Ce2Ni9Ir. The X-ray powder pattern is simulated, not measured: it uses a PBE-relaxed structure and Cu Kα X-rays.
Lines closer than 0.1° are merged.

Largest 10 diffraction maxima, in order of rising 2θ, 2θ from 10° to 80°:
- (1 0 7), 2θ 33.61, rel. 45
- (0 1 8), 2θ 36.71, rel. 100
- (0 2 1), 2θ 42.85, rel. 40
- (1 1 6), 2θ 43.35, rel. 79
- (0 0 12), 2θ 45.36, rel. 14
- (2 0 5), 2θ 46.86, rel. 24
- (1 1 9), 2θ 50.63, rel. 27
- (1 2 8), 2θ 66.12, rel. 35
- (3 0 6), 2θ 70.71, rel. 20
- (2 2 0), 2θ 78.12, rel. 22

Structure:
Unit cell a=4.8934 b=4.8934 c=24.0049 alpha=90.00 beta=90.00 gamma=120.00
Space group R-3m (No. 166, hexagonal axes)
Unique sites:
Ce  0.0000  0.0000  0.1270 x6
Ni  0.0000  0.0000  0.3329 x6
Ni  0.0000  0.0000  0.5000 x3
Ni  0.0013  0.5007  0.9183 x18
Ir  0.0000  0.0000  0.0000 x3

[12]
Diffraction record for Ce6NiIr2. The X-ray powder pattern is simulated, not measured: it uses a PBE-relaxed structure and Cu Kα X-rays.
Lines closer than 0.1° are merged.

Largest 10 diffraction maxima, in order of rising 2θ, 2θ from 10° to 80°:
- (1 2 0), 2θ 29.68, rel. 45
- (0 2 2), 2θ 30.66, rel. 48
- (1 0 -4), 2θ 31.40, rel. 79
- (2 1 -1), 2θ 32.18, rel. 100
- (1 1 2), 2θ 33.12, rel. 56
- (1 2 1), 2θ 33.68, rel. 83
- (1 1 -4), 2θ 33.78, rel. 52
- (2 1 0), 2θ 35.82, rel. 47
- (0 2 3), 2θ 37.12, rel. 54
- (1 3 -1), 2θ 39.79, rel. 64

Structure:
Unit cell a=6.277 b=7.288 c=11.433 alpha=90.00 beta=121.71 gamma=90.00
Space group P2_1/c (No. 14)
Unique sites:
Ce  0.083  0.193  0.432 x4
Ce  0.296  0.654  0.447 x4
Ce  0.393  0.043  0.240 x4
Ni  0.500  0.000  0.500 x2
Ir  0.158  0.121  0.724 x4

[13]
Diffraction record for CeNi2Ir. The X-ray powder pattern is simulated, not measured: it uses a PBE-relaxed structure and Cu Kα X-rays.
Lines closer than 0.1° are merged.

Largest 10 diffraction maxima, in order of rising 2θ, 2θ from 10° to 80°:
- (0 0 1), 2θ 14.62, rel. 57
- (1 1 1), 2θ 24.92, rel. 36
- (0 2 1), 2θ 25.14, rel. 58
- (0 2 2), 2θ 36.09, rel. 95
- (2 0 1), 2θ 38.10, rel. 59
- (1 3 1), 2θ 38.54, rel. 100
- (2 2 0), 2θ 40.80, rel. 52
- (2 2 1), 2θ 43.56, rel. 61
- (2 0 2), 2θ 46.39, rel. 68
- (2 4 2), 2θ 63.87, rel. 36

Structure:
Unit cell a=5.130 b=8.733 c=6.058 alpha=90.00 beta=90.00 gamma=90.00
Space group Cmme (No. 67)
Unique sites:
Ce  0.000  0.250  0.246 x4
Ni  0.000  0.088  0.651 x8
Ir  0.250  0.000  0.000 x4